Starting from a cell relaxed with GGA-PBE, the powder XRD pattern of Sr2CdSn was computed for Cu Kα (λ = 1.5418 Å).
Kinematic intensities with the Lorentz-polarization factor, no thermal factor.

Cell and atoms:
Unit cell a=5.741 b=5.741 c=5.741 alpha=60.00 beta=60.00 gamma=60.00
Atoms (fractional coordinates):
Sr1 0.250 0.250 0.250
Sr2 0.750 0.750 0.750
Cd1 0.000 0.000 0.000
Sn1 0.500 0.500 0.500

Largest 6 diffraction maxima, in order of rising 2θ, 2θ = 10–90°:
31.16°, I = 100; 44.65°, I = 18; 55.45°, I = 39; 64.98°, I = 12; 73.82°, I = 17; 82.28°, I = 4

=====

Starting from a cell relaxed with GGA-PBE, the powder XRD pattern of LiAgF4 was computed for Cu Kα (λ = 1.5418 Å).
Kinematic intensities with the Lorentz-polarization factor, no thermal factor.

Cell and atoms:
Unit cell a=4.855 b=11.332 c=5.645 alpha=90.00 beta=90.00 gamma=90.00
Atoms (fractional coordinates):
Li1 0.000 0.062 0.250
Li2 0.000 0.938 0.750
Li3 0.500 0.438 0.750
Li4 0.500 0.562 0.250
Ag1 0.000 0.331 0.250
Ag2 0.000 0.669 0.750
Ag3 0.500 0.169 0.750
Ag4 0.500 0.831 0.250
F1 0.217 0.200 0.114
F2 0.217 0.800 0.614
F3 0.250 0.050 0.597
F4 0.250 0.450 0.097
F5 0.250 0.550 0.597
F6 0.250 0.950 0.097
F7 0.283 0.300 0.614
F8 0.283 0.700 0.114
F9 0.717 0.300 0.886
F10 0.717 0.700 0.386
F11 0.750 0.050 0.903
F12 0.750 0.450 0.403
F13 0.750 0.550 0.903
F14 0.750 0.950 0.403
F15 0.783 0.200 0.386
F16 0.783 0.800 0.886

Largest 6 diffraction maxima, in order of rising 2θ, 2θ = 10–90°:
15.64°, I = 21; 22.23°, I = 51; 25.44°, I = 100; 29.97°, I = 34; 44.18°, I = 29; 52.21°, I = 28